Diffraction record for LaNi4Sn2. The powder diffractogram is calculated, not measured: it uses the GGA-PBE geometry in the Materials Project and Cu Kα X-rays.
Lines closer than 0.1° are merged.

Most intense lines, 15° ≤ 2θ ≤ 90°, by angle:
- 2θ 27.75, rel. 270
- 2θ 32.27, rel. 358
- 2θ 36.57, rel. 916
- 2θ 43.00, rel. 1000
- 2θ 49.76, rel. 166
- 2θ 75.00, rel. 260

Cell and atoms:
```
LaNi4Sn2
1.0
-3.885 3.885 3.963
3.885 -3.885 3.963
3.885 3.885 -3.963
La Ni Sn
2 8 4
Direct
0.250 0.250 0.000
0.750 0.750 0.000
0.026 0.526 0.224
0.198 0.974 0.500
0.302 0.802 0.776
0.474 0.698 0.500
0.526 0.302 0.500
0.698 0.198 0.224
0.802 0.026 0.500
0.974 0.474 0.776
0.159 0.341 0.500
0.341 0.841 0.182
0.659 0.159 0.818
0.841 0.659 0.500
```